Structure and calculated powder diffractogram of SmHo2Pu3Se6 (a GGA-PBE-relaxed structure; λ = 1.5418 Å (Cu Kα)).

Cell and atoms:
Lattice parameters (Å, degrees): 5.5786 18.1115 6.0114 90.00 90.00 90.00
Space group Cmmm (No. 65)
Unique sites:
1 Sm 0.0000 0.0000 0.0000 x2
2 Ho 0.0000 0.3592 0.5000 x4
3 Pu 0.0000 0.0000 0.5000 x2
4 Pu 0.0000 0.1696 0.0000 x4
5 Se 0.0000 0.1716 0.5000 x4
6 Se 0.0000 0.3254 0.0000 x4
7 Se 0.0000 0.5000 0.2554 x4

The 10 most intense peaks (2θ = 10–90°), in order of falling intensity:
2θ = 44.25°, d 2.047, I 100.0
2θ = 29.59°, d 3.019, I 82.8
2θ = 32.09°, d 2.789, I 81.7
2θ = 29.72°, d 3.006, I 64.9
2θ = 26.32°, d 3.386, I 51.1
2θ = 42.30°, d 2.137, I 45.1
2θ = 42.44°, d 2.130, I 39.0
2θ = 54.18°, d 1.693, I 38.6
2θ = 34.25°, d 2.618, I 32.1
2θ = 75.06°, d 1.266, I 24.6